Theoretical powder XRD pattern
Compound: TbEr3Sb3
Radiation: CuKα
Structure: a crystal structure in Alexandria, relaxed with PBE

Largest 10 diffraction maxima, low angle first, 2θ = 15–90°:
| 2θ (°) | d_spacing | I/Imax |
| --- | --- | --- |
| 30.9 | 2.892 | 100 |
| 36.8 | 2.444 | 69 |
| 44.3 | 2.045 | 9 |
| 46.6 | 1.949 | 8 |
| 48.8 | 1.866 | 19 |
| 50.9 | 1.793 | 24 |
| 62.6 | 1.483 | 25 |
| 64.4 | 1.446 | 12 |
| 66.2 | 1.411 | 15 |
| 76.6 | 1.244 | 14 |

Crystal structure
```
data_TbEr3Sb3
_cell_length_a 9.1438
_cell_length_b 9.1438
_cell_length_c 9.1438
_cell_angle_alpha 90.00
_cell_angle_beta 90.00
_cell_angle_gamma 90.00
_space_group_name_H-M_alt 'P 21 3'
_space_group_IT_number 198
_space_group_name_Hall 'P 2ac 2ab 3'
loop_
_atom_site_label
_atom_site_fract_x
_atom_site_fract_y
_atom_site_fract_z
Tb1 0.0715 0.4285 0.5715
Er1 0.0744 0.5744 0.9256
Er2 0.1774 0.8226 0.3226
Er3 0.1783 0.1783 0.1783
Sb1 0.0008 0.2526 0.8762
```